(1)
# Co3OF5
Simulated X-ray diffraction stick pattern, Cu Kα (weighted mean of Kα1 and Kα2). Input: a PBE+U-relaxed structure.
Intensities are scaled so that the largest is 100.

Peak list (8 most intense, 2θ = 5–70°, low angle first)
2θ/deg, Rel. int., index
26.34, 100, 1 1 1
27.34, 94, -1 1 1
34.27, 55, 1 -1 2
34.78, 53, 1 1 -2
52.14, 33, 2 2 -1
52.56, 30, 2 -2 1
53.63, 27, 2 0 -3
67.33, 21, 0 2 5

Structure:
a b c (Å): 4.6964 5.6839 7.7565
angles (deg): 86.80 88.07 88.73
Space group P-1 (No. 2)
Inequivalent atoms, fractional coordinates:
Co (0.0000, 0.0000, 0.0000) [1 per cell]
Co (0.0091, 0.3191, 0.6670) [2 per cell]
Co (0.4745, 0.8445, 0.6778) [2 per cell]
Co (0.5000, 0.5000, 0.0000) [1 per cell]
O (0.1810, 0.0345, 0.7858) [2 per cell]
F (0.2003, 0.7094, 0.0961) [2 per cell]
F (0.2052, 0.3707, 0.4291) [2 per cell]
F (0.2956, 0.5330, 0.7676) [2 per cell]
F (0.3014, 0.2043, 0.1019) [2 per cell]
F (0.3031, 0.8713, 0.4349) [2 per cell]

(2)
# CoO2F8
Simulated X-ray diffraction stick pattern, Cu Kα (weighted mean of Kα1 and Kα2). Input: a PBE+U-relaxed structure.
Intensities are scaled so that the largest is 100.

Peak list (8 most intense, 2θ = 5–70°, low angle first)
2θ/deg, Rel. int., index
18.94, 100, 1 1 0
25.30, 83, 4 0 -2
26.15, 67, 2 0 2
26.80, 56, 3 1 0
27.28, 50, 3 1 -2
27.81, 60, 1 1 2
30.77, 67, 3 1 1
31.61, 65, 3 1 -3

Structure:
a b c (Å): 14.6288 5.0021 11.0152
angles (deg): 90.00 114.02 90.00
Space group C2/c (No. 15)
Inequivalent atoms, fractional coordinates:
Co (0.0000, 0.0344, 0.2500) [4 per cell]
O (0.1531, 0.1948, 0.5904) [8 per cell]
F (0.0339, 0.2365, 0.1456) [8 per cell]
F (0.1009, 0.1689, 0.8436) [8 per cell]
F (0.1774, 0.4556, 0.5613) [8 per cell]
F (0.2467, 0.0593, 0.6486) [8 per cell]

(3)
# Co6O7F5
Simulated X-ray diffraction stick pattern, Cu Kα (weighted mean of Kα1 and Kα2). Input: a PBE+U-relaxed structure.
Intensities are scaled so that the largest is 100.

Peak list (8 most intense, 2θ = 5–70°, low angle first)
2θ/deg, Rel. int., index
25.47, 100, 2 0 -2
29.24, 81, 0 2 0
35.94, 48, 3 1 0
36.21, 45, 1 1 2
51.84, 31, 5 1 -2
52.43, 30, 1 1 -4
56.31, 23, 3 3 0
69.22, 24, 1 3 -4

Structure:
a b c (Å): 9.2178 6.1079 7.5623
angles (deg): 90.00 116.99 90.00
Space group Cm (No. 8)
Inequivalent atoms, fractional coordinates:
Co (0.0000, 0.0000, 0.0000) [2 per cell]
Co (0.0023, 0.0000, 0.4980) [2 per cell]
Co (0.1570, 0.5000, 0.1612) [2 per cell]
Co (0.1686, 0.5000, 0.6656) [2 per cell]
Co (0.3346, 0.0000, 0.8392) [2 per cell]
Co (0.3461, 0.0000, 0.3072) [2 per cell]
O (0.0042, 0.3055, 0.4910) [4 per cell]
O (0.1704, 0.1940, 0.1618) [4 per cell]
O (0.3351, 0.3067, 0.8339) [4 per cell]
O (0.4387, 0.0000, 0.1151) [2 per cell]
F (0.0684, 0.5000, 0.8629) [2 per cell]
F (0.0963, 0.0000, 0.7908) [2 per cell]
F (0.2359, 0.0000, 0.5490) [2 per cell]
F (0.2712, 0.5000, 0.4609) [2 per cell]
F (0.3954, 0.5000, 0.2017) [2 per cell]

(4)
# Co3OF5
Simulated X-ray diffraction stick pattern, Cu Kα (weighted mean of Kα1 and Kα2). Input: a PBE+U-relaxed structure.
Intensities are scaled so that the largest is 100.

Peak list (8 most intense, 2θ = 5–70°, low angle first)
2θ/deg, Rel. int., index
26.17, 100, 1 1 2
27.29, 88, 1 -1 0
34.13, 55, 1 2 0
34.25, 54, 1 0 -2
51.53, 68, 2 3 2
52.68, 26, 0 3 0
52.93, 25, -2 1 2
66.34, 20, 2 -1 4

Structure:
a b c (Å): 5.6686 5.6858 7.5054
angles (deg): 72.02 71.79 70.29
Space group P-1 (No. 2)
Inequivalent atoms, fractional coordinates:
Co (0.0000, 0.0000, 0.0000) [1 per cell]
Co (0.0000, 0.0000, 0.5000) [1 per cell]
Co (0.3309, 0.3216, 0.1721) [2 per cell]
Co (0.3680, 0.3023, 0.6657) [2 per cell]
O (0.3493, 0.9685, 0.3352) [2 per cell]
F (0.0546, 0.6191, 0.6670) [2 per cell]
F (0.1133, 0.1014, 0.7004) [2 per cell]
F (0.2348, 0.2352, 0.9601) [2 per cell]
F (0.3062, 0.6926, 0.0057) [2 per cell]
F (0.4317, 0.4343, 0.3704) [2 per cell]

(5)
# Co3OF5
Simulated X-ray diffraction stick pattern, Cu Kα (weighted mean of Kα1 and Kα2). Input: a PBE+U-relaxed structure.
Intensities are scaled so that the largest is 100.

Peak list (8 most intense, 2θ = 5–70°, low angle first)
2θ/deg, Rel. int., index
26.45, 100, 0 2 0
27.56, 91, 2 0 0
34.37, 57, 1 1 -3
34.70, 53, 1 1 3
51.97, 34, 1 3 -3
52.21, 33, 1 3 3
53.00, 28, 3 1 -3
66.88, 27, 3 3 -3

Structure:
a b c (Å): 6.4738 6.7398 9.3777
angles (deg): 90.00 90.80 90.00
Space group C2/m (No. 12)
Inequivalent atoms, fractional coordinates:
Co (0.0000, 0.0000, 0.0000) [2 per cell]
Co (0.0000, 0.5000, 0.5000) [2 per cell]
Co (0.0016, 0.0000, 0.6748) [4 per cell]
Co (0.0331, 0.5000, 0.8368) [4 per cell]
O (0.1716, 0.0000, 0.1559) [4 per cell]
F (0.0000, 0.2998, 0.0000) [4 per cell]
F (0.0137, 0.3028, 0.6672) [8 per cell]
F (0.1964, 0.0000, 0.5021) [4 per cell]
F (0.2193, 0.0000, 0.8387) [4 per cell]

(6)
# Co3OF5
Simulated X-ray diffraction stick pattern, Cu Kα (weighted mean of Kα1 and Kα2). Input: a PBE+U-relaxed structure.
Intensities are scaled so that the largest is 100.

Peak list (8 most intense, 2θ = 5–70°, low angle first)
2θ/deg, Rel. int., index
26.97, 100, 1 -1 0
27.09, 97, 1 1 2
33.83, 31, 1 2 0
33.87, 33, 0 1 -2
34.36, 56, 2 1 0
51.83, 32, 1 -2 2
52.33, 32, 1 0 4
52.92, 31, 3 0 0

Structure:
a b c (Å): 5.6072 5.6936 7.3095
angles (deg): 74.18 73.30 71.63
Space group P1 (No. 1)
Inequivalent atoms, fractional coordinates:
Co (0.0000, 0.0000, 0.0000) [1 per cell]
Co (0.0036, 0.9965, 0.4828) [1 per cell]
Co (0.3084, 0.3150, 0.1468) [1 per cell]
Co (0.3298, 0.3199, 0.6728) [1 per cell]
Co (0.6645, 0.6557, 0.8214) [1 per cell]
Co (0.6922, 0.6141, 0.3161) [1 per cell]
O (0.2230, 0.2245, 0.9629) [1 per cell]
O (0.9799, 0.3336, 0.3088) [1 per cell]
F (0.0331, 0.6313, 0.6532) [1 per cell]
F (0.0934, 0.0960, 0.6943) [1 per cell]
F (0.2987, 0.6874, 0.9844) [1 per cell]
F (0.3783, 0.9203, 0.3256) [1 per cell]
F (0.4281, 0.4041, 0.3471) [1 per cell]
F (0.5802, 0.5404, 0.6126) [1 per cell]
F (0.6370, 0.0165, 0.6515) [1 per cell]
F (0.6701, 0.2891, 0.9934) [1 per cell]
F (0.7701, 0.7535, 0.0246) [1 per cell]
F (0.8952, 0.8684, 0.2951) [1 per cell]

(7)
# Co3O5F
Simulated X-ray diffraction stick pattern, Cu Kα (weighted mean of Kα1 and Kα2). Input: a PBE+U-relaxed structure.
Intensities are scaled so that the largest is 100.

Peak list (8 most intense, 2θ = 5–70°, low angle first)
2θ/deg, Rel. int., index
28.46, 100, 0 1 3
36.83, 59, 1 0 3
40.69, 10, 0 0 6
42.27, 13, 1 1 3
56.03, 51, 1 1 6
58.90, 12, 0 2 6
63.67, 9, 2 0 0
66.69, 6, 0 1 9

Structure:
a b c (Å): 2.9231 4.4367 13.3008
angles (deg): 90.00 90.00 90.00
Space group Pmn2_1 (No. 31)
Inequivalent atoms, fractional coordinates:
Co (0.0000, 0.2039, 0.0000) [2 per cell]
Co (0.0000, 0.2079, 0.6852) [2 per cell]
Co (0.0000, 0.2945, 0.3448) [2 per cell]
O (0.0000, 0.5138, 0.9073) [2 per cell]
O (0.0000, 0.5859, 0.2440) [2 per cell]
O (0.0000, 0.8970, 0.7809) [2 per cell]
O (0.0000, 0.9431, 0.1089) [2 per cell]
O (0.0000, 0.9917, 0.4413) [2 per cell]
F (0.0000, 0.5774, 0.5707) [2 per cell]

(8)
# Co3OF5
Simulated X-ray diffraction stick pattern, Cu Kα (weighted mean of Kα1 and Kα2). Input: a PBE+U-relaxed structure.
Intensities are scaled so that the largest is 100.

Peak list (8 most intense, 2θ = 5–70°, low angle first)
2θ/deg, Rel. int., index
26.27, 100, 1 0 -3
26.83, 98, 1 0 3
34.28, 55, 1 1 0
34.40, 56, 0 1 3
51.62, 33, 2 1 -3
51.87, 33, 1 1 -6
52.26, 29, 2 1 3
65.82, 35, 3 1 0

Structure:
a b c (Å): 4.7748 3.1273 14.1678
angles (deg): 90.00 91.19 90.00
Space group P2/m (No. 10)
Inequivalent atoms, fractional coordinates:
Co (0.0000, 0.0000, 0.0000) [1 per cell]
Co (0.0098, 0.0000, 0.6707) [2 per cell]
Co (0.4706, 0.5000, 0.8233) [2 per cell]
Co (0.5000, 0.5000, 0.5000) [1 per cell]
O (0.3134, 0.0000, 0.7702) [2 per cell]
F (0.1977, 0.5000, 0.5996) [2 per cell]
F (0.1975, 0.5000, 0.9332) [2 per cell]
F (0.2006, 0.5000, 0.2660) [2 per cell]
F (0.3014, 0.0000, 0.4325) [2 per cell]
F (0.3124, 0.0000, 0.1015) [2 per cell]

(9)
# Co3OF5
Simulated X-ray diffraction stick pattern, Cu Kα (weighted mean of Kα1 and Kα2). Input: a PBE+U-relaxed structure.
Intensities are scaled so that the largest is 100.

Peak list (8 most intense, 2θ = 5–70°, low angle first)
2θ/deg, Rel. int., index
26.33, 92, 0 2 0
27.44, 85, 2 0 -2
34.45, 100, 1 1 2
51.90, 61, 1 3 2
53.16, 52, 1 1 -4
54.20, 18, 0 4 0
59.03, 18, 4 0 2
66.92, 39, 1 3 -4

Structure:
a b c (Å): 9.0319 6.7694 7.2109
angles (deg): 90.00 110.40 90.00
Space group Cm (No. 8)
Inequivalent atoms, fractional coordinates:
Co (0.0000, 0.0000, 0.0000) [2 per cell]
Co (0.9999, 0.0000, 0.4810) [2 per cell]
Co (0.1680, 0.5000, 0.6709) [2 per cell]
Co (0.1814, 0.5000, 0.1456) [2 per cell]
Co (0.3417, 0.0000, 0.3229) [2 per cell]
Co (0.3508, 0.0000, 0.8216) [2 per cell]
O (0.0828, 0.5000, 0.8695) [2 per cell]
O (0.3954, 0.5000, 0.1885) [2 per cell]
F (0.0037, 0.3024, 0.4990) [4 per cell]
F (0.1096, 0.0000, 0.7919) [2 per cell]
F (0.1716, 0.1949, 0.1609) [4 per cell]
F (0.2352, 0.0000, 0.5242) [2 per cell]
F (0.2601, 0.5000, 0.4497) [2 per cell]
F (0.3413, 0.3022, 0.8187) [4 per cell]
F (0.4552, 0.0000, 0.1267) [2 per cell]

(10)
# Co6O5F7
Simulated X-ray diffraction stick pattern, Cu Kα (weighted mean of Kα1 and Kα2). Input: a PBE+U-relaxed structure.
Intensities are scaled so that the largest is 100.

Peak list (8 most intense, 2θ = 5–70°, low angle first)
2θ/deg, Rel. int., index
25.65, 100, 1 0 -1
28.56, 82, 1 0 1
35.81, 89, 1 3 0
38.77, 17, 2 0 0
39.88, 16, 1 3 -1
52.13, 55, 2 3 -1
55.42, 44, 2 3 1
68.32, 19, 3 3 0

Structure:
a b c (Å): 4.6678 8.9340 4.6771
angles (deg): 90.00 96.03 90.00
Space group Pm (No. 6)
Inequivalent atoms, fractional coordinates:
Co (0.0000, 0.0000, 0.0000) [1 per cell]
Co (0.0244, 0.3397, 0.0232) [2 per cell]
Co (0.4949, 0.1627, 0.5020) [2 per cell]
Co (0.5510, 0.5000, 0.4158) [1 per cell]
O (0.3096, 0.0000, 0.3086) [1 per cell]
O (0.3244, 0.3340, 0.3045) [2 per cell]
O (0.6868, 0.0000, 0.6920) [1 per cell]
O (0.8503, 0.5000, 0.1899) [1 per cell]
F (0.1955, 0.1805, 0.8200) [2 per cell]
F (0.2034, 0.5000, 0.8317) [1 per cell]
F (0.7119, 0.3352, 0.7071) [2 per cell]
F (0.8280, 0.1821, 0.1981) [2 per cell]

(11)
# Co2O3F
Simulated X-ray diffraction stick pattern, Cu Kα (weighted mean of Kα1 and Kα2). Input: a PBE+U-relaxed structure.
Intensities are scaled so that the largest is 100.

Peak list (8 most intense, 2θ = 5–70°, low angle first)
2θ/deg, Rel. int., index
25.34, 100, 0 0 2
29.34, 85, 0 2 0
37.32, 83, 5 1 1
39.15, 17, 0 2 2
40.96, 17, 5 0 2
52.93, 43, 5 1 3
57.41, 45, 5 3 1
69.75, 27, 5 3 3

Structure:
a b c (Å): 14.1400 6.0874 7.0287
angles (deg): 90.00 90.00 90.00
Space group Amm2 (No. 38)
Inequivalent atoms, fractional coordinates:
Co (0.0000, 0.0000, 0.0000) [2 per cell]
Co (0.0985, 0.0000, 0.5533) [4 per cell]
Co (0.2004, 0.0000, 0.9839) [4 per cell]
Co (0.3007, 0.0000, 0.5475) [4 per cell]
Co (0.3977, 0.0000, 0.0996) [4 per cell]
Co (0.5000, 0.0000, 0.5372) [2 per cell]
O (0.0000, 0.0000, 0.7222) [2 per cell]
O (0.0987, 0.1920, 0.0432) [8 per cell]
O (0.1992, 0.0000, 0.7240) [4 per cell]
O (0.3001, 0.1933, 0.0515) [8 per cell]
O (0.4013, 0.0000, 0.3710) [4 per cell]
O (0.5000, 0.1935, 0.0633) [4 per cell]
F (0.0000, 0.0000, 0.3673) [2 per cell]
F (0.2008, 0.0000, 0.3715) [4 per cell]
F (0.3997, 0.0000, 0.7269) [4 per cell]